Structure and calculated PXRD pattern of Sm7HgS5 (a PBE-relaxed structure; Cu Kα, 1.54184 Å).

The 8 most intense peaks (2θ = 10–90°), low angle first:
two_theta, Rel. int.
27.41, 37.5
29.13, 100.0
29.60, 48.6
30.89, 94.4
32.01, 69.4
40.92, 21.4
44.95, 55.5
54.46, 35.2

Structural model:
abc: 4.034 6.935 24.192
angles: 89.98 90.00 73.16
Space group P-1 (No. 2)
One atom of each set of equivalent atoms:
Sm 0.025 0.450 0.250 [2 per cell]
Sm 0.135 0.229 0.964 [2 per cell]
Sm 0.136 0.228 0.536 [2 per cell]
Sm 0.322 0.856 0.328 [2 per cell]
Sm 0.323 0.854 0.172 [2 per cell]
Sm 0.410 0.680 0.893 [2 per cell]
Sm 0.411 0.678 0.607 [2 per cell]
Hg 0.294 0.910 0.750 [2 per cell]
S 0.044 0.412 0.641 [2 per cell]
S 0.044 0.412 0.859 [2 per cell]
S 0.227 0.046 0.430 [2 per cell]
S 0.227 0.047 0.070 [2 per cell]
S 0.500 0.500 0.000 [1 per cell]
S 0.500 0.500 0.500 [1 per cell]